1.
# NaHgSbAs
Theoretical powder diffraction line list, λ = 1.5418 Å (Cu Kα). Input: a cell relaxed with PBE.
No peak broadening, texture or thermal motion is included.

Cell: 6.710 3.877 9.361 Å, 90.00 103.75 90.00°
Positions (direct):
Na1 0.000 0.000 0.000
Na2 0.500 0.500 0.000
Hg1 0.085 0.500 0.756
Hg2 0.585 0.000 0.756
Sb1 0.471 0.000 0.415
Sb2 0.971 0.500 0.415
As1 0.248 0.500 0.243
As2 0.748 0.000 0.243

Principal peaks in the range 2θ = 15–90°, low angle first:
Position (°2θ)  intensity  h k l
19.5  37  0 0 2
26.8  100  2 0 -1
27.4  42  1 1 -1
29.5  16  0 0 3
35.3  60  1 1 2
37.6  42  2 0 2
42.7  22  1 1 3
45.5  20  2 0 3
46.9  41  0 2 0
51.3  20  3 1 1


2.
# Nd3HgAs
Theoretical powder diffraction line list, λ = 1.5418 Å (Cu Kα). Input: a cell relaxed with PBE.
No peak broadening, texture or thermal motion is included.

Cell: 7.594 4.637 16.940 Å, 90.00 90.00 90.00°
Positions (direct):
Nd1 0.012 0.250 0.102
Nd2 0.131 0.750 0.445
Nd3 0.174 0.250 0.720
Nd4 0.326 0.750 0.220
Nd5 0.369 0.250 0.945
Nd6 0.488 0.750 0.602
Nd7 0.512 0.250 0.398
Nd8 0.631 0.750 0.055
Nd9 0.674 0.250 0.780
Nd10 0.826 0.750 0.280
Nd11 0.869 0.250 0.555
Nd12 0.988 0.750 0.898
Hg1 0.114 0.250 0.306
Hg2 0.386 0.750 0.806
Hg3 0.614 0.250 0.194
Hg4 0.886 0.750 0.694
As1 0.224 0.750 0.040
As2 0.276 0.250 0.540
As3 0.724 0.750 0.460
As4 0.776 0.250 0.960

Principal peaks in the range 2θ = 15–90°, low angle first:
Position (°2θ)  intensity  h k l
24.8  20  1 1 2
27.5  31  1 1 3
28.9  47  1 0 5
30.9  88  1 1 4
32.3  100  2 1 2
32.7  38  0 1 5
34.9  45  1 1 5
38.8  51  0 2 0
43.8  21  3 1 3
49.1  29  1 2 5


3.
# Nd4HgAsSe2
Theoretical powder diffraction line list, λ = 1.5418 Å (Cu Kα). Input: a cell relaxed with PBE.
No peak broadening, texture or thermal motion is included.

Cell: 7.470 4.253 7.481 Å, 90.00 109.02 90.00°
Positions (direct):
Nd1 0.238 0.000 0.241
Nd2 0.239 0.500 0.748
Nd3 0.761 0.500 0.252
Nd4 0.762 0.000 0.759
Hg1 0.500 0.500 0.500
As1 0.000 0.000 0.500
Se1 0.000 0.500 0.000
Se2 0.500 0.000 0.000

Principal peaks in the range 2θ = 15–90°, low angle first:
Position (°2θ)  intensity  h k l
29.4  100  2 0 -2
41.6  13  2 0 2
42.0  50  1 1 -3
42.5  12  0 2 0
51.7  13  0 0 4
52.5  13  2 2 -2
61.0  8  2 2 2
68.5  6  3 1 3
69.1  17  3 1 -5
77.5  8  1 3 -3